The following is a calculated powder diffractogram of Ti3NbCr2P6O24. It was derived from the PBE+U geometry in Alexandria, using CuKα.
Kinematic intensities with the Lorentz-polarization factor, no thermal factor.

Largest 12 diffraction maxima, by angle, 2θ from 10° to 90°:
20.2 deg, I 15, (1 0 4)
20.3 deg, I 80, (1 1 0)
23.8 deg, I 100, (2 -1 3)
25.0 deg, I 14, (2 0 2)
28.8 deg, I 15, (0 2 4)
31.6 deg, I 16, (3 -1 1)
32.2 deg, I 70, (1 1 6)
35.6 deg, I 32, (3 0 0)
46.2 deg, I 29, (3 -2 8)
48.8 deg, I 24, (2 2 6)
55.7 deg, I 26, (1 4 0)
61.8 deg, I 15, (4 1 6)

Atomic structure:
Cell lengths 8.7285, 8.7285, 21.6536 Å; angles 90.00, 90.00, 120.00 degrees
Space group R3 (No. 146, hexagonal axes)
Symmetry-distinct sites (fractional):
Ti 0.0000 0.0000 0.0000
Ti 0.0000 0.0000 0.2125
Ti 0.0000 0.0000 0.7103
Nb 0.0000 0.0000 0.4971
Cr 0.0000 0.0000 0.3538
Cr 0.0000 0.0000 0.8555
P 0.0018 0.2936 0.6060
P 0.0509 0.6749 0.7725
O 0.0012 0.8128 0.0472
O 0.0092 0.1977 0.5466
O 0.0228 0.1901 0.2727
O 0.0281 0.8397 0.7733
O 0.1468 0.4749 0.3300
O 0.1496 0.6773 0.8314
O 0.1603 0.6889 0.1043
O 0.1690 0.4795 0.6046